This entry pairs a crystal structure of ErAgTe2 with its theoretical powder X-ray diffraction pattern. Radiation: Cu Kα (weighted mean of Kα1 and Kα2). Structure: a PBE-relaxed structure.

Most intense lines, 10° ≤ 2θ ≤ 90°, sorted by position:
3.919 Å, I = 18, (1 0 1)
3.430 Å, I = 100, (1 1 1)
3.168 Å, I = 29, (2 1 0)
2.830 Å, I = 59, (2 0 1)
2.628 Å, I = 89, (2 1 1)
2.505 Å, I = 83, (2 2 0)
2.129 Å, I = 40, (1 1 2)
2.111 Å, I = 60, (3 0 1)
2.023 Å, I = 19, (3 1 1)
1.771 Å, I = 19, (4 0 0)
1.285 Å, I = 20, (3 1 3)
1.267 Å, I = 24, (5 2 1)

Structure:
```
ErAgTe2
1.0
7.0849 0.0000 0.0000
0.0000 7.0849 0.0000
0.0000 0.0000 4.7048
Er Ag Te
2 2 4
Direct
0.0000 0.5000 0.1921
0.5000 0.0000 0.8079
0.0000 0.0000 0.0000
0.5000 0.5000 0.0000
0.2015 0.7015 0.7090
0.2985 0.2015 0.2910
0.7015 0.7985 0.2910
0.7985 0.2985 0.7090
```